# Tb5Ce2Sm5
Computed X-ray powder pattern, copper Kα. Input: a GGA-PBE-relaxed structure.

Peak list (10 most intense, 10° ≤ 2θ ≤ 90°, by intensity)
- d 2.926, 30.55 deg, rel. 100
- d 2.535, 35.41 deg, rel. 34
- d 1.527, 60.64 deg, rel. 25
- d 1.793, 50.93 deg, rel. 18
- d 1.790, 51.01 deg, rel. 18
- d 2.531, 35.46 deg, rel. 17
- d 1.530, 60.52 deg, rel. 14
- d 1.463, 63.58 deg, rel. 9
- d 1.132, 85.83 deg, rel. 8
- d 1.162, 83.09 deg, rel. 7

Atomic structure:
Lattice parameters (Å, degrees): 6.206 8.007 8.782 111.34 90.20 104.94
Sites, in units of the cell vectors:
Tb 0.000 0.000 0.000
Tb 0.085 0.753 0.583
Tb 0.168 0.503 0.168
Tb 0.832 0.497 0.832
Tb 0.915 0.247 0.417
Ce 0.338 0.000 0.337
Ce 0.662 0.000 0.663
Sm 0.248 0.245 0.747
Sm 0.417 0.754 0.918
Sm 0.500 0.500 0.500
Sm 0.583 0.246 0.082
Sm 0.752 0.755 0.253